# Na3Li3Mn2P2C2O14
Computed powder diffractogram, CuKα. Input: a PBE+U-relaxed structure.

Largest 10 diffraction maxima, sorted by position, 2θ = 15–90°:
d (Å)  Rel. int.  hkl
4.478  24  1 0 -1
4.419  20  1 0 1
3.377  100  0 2 0
3.318  13  1 0 2
2.928  17  0 0 3
2.737  14  0 2 -2
2.720  16  1 2 -1
2.580  38  2 0 0
2.562  17  1 0 -3
1.690  14  0 4 0

```
data_Na3Li3Mn2P2C2O14
_symmetry_space_group_name_H-M 'P 1'
_symmetry_Int_Tables_number 1
_symmetry_space_group_name_Hall 'P 1'
_cell_length_a 5.161
_cell_length_b 6.766
_cell_length_c 8.787
_cell_angle_alpha 92.55
_cell_angle_beta 90.85
_cell_angle_gamma 90.43
loop_
_atom_site_label
_atom_site_fract_x
_atom_site_fract_y
_atom_site_fract_z
Na1 0.000 0.000 0.000
Na2 0.002 0.242 0.665
Na3 0.490 0.714 0.146
Li1 0.486 0.516 0.792
Li2 0.537 0.170 0.213
Li3 0.966 0.705 0.624
Mn1 0.523 0.984 0.566
Mn2 0.965 0.474 0.264
P1 0.037 0.973 0.333
P2 0.452 0.483 0.492
C1 0.489 0.017 0.869
C2 0.994 0.519 0.936
O1 0.096 0.545 0.804
O2 0.149 0.474 0.048
O3 0.152 0.505 0.480
O4 0.282 0.005 0.782
O5 0.340 0.987 0.342
O6 0.470 0.016 0.017
O7 0.520 0.306 0.591
O8 0.557 0.457 0.326
O9 0.570 0.666 0.583
O10 0.713 0.024 0.804
O11 0.747 0.533 0.956
O12 0.928 0.155 0.252
O13 0.935 0.964 0.498
O14 0.953 0.789 0.232
```